The following is a computed XRD peak list of NaIn5Bi4. It was derived from a GGA-PBE-relaxed structure, using Cu Kα X-rays.
Neutral-atom scattering factors, no anomalous dispersion.

Top 10 peaks for 2θ from 10° to 80°, by angle:
(0 1 1), d 7.440, I = 68
(0 1 3), d 2.950, I = 39
(1 -1 1), d 2.864, I = 33
(1 2 -1), d 2.835, I = 34
(1 0 2), d 2.808, I = 100
(1 1 -2), d 2.783, I = 94
(-1 2 2), d 2.676, I = 80
(1 3 2), d 2.666, I = 84
(0 3 0), d 2.504, I = 74
(2 1 0), d 2.391, I = 75

Structural model:
Lattice parameters (Å, degrees): 4.7825 8.8021 8.9239 63.27 89.77 74.62
Space group P-1 (No. 2)
Unique sites:
Na (0.0000, 0.0000, 0.0000) [1 per cell]
In (0.0000, 0.0000, 0.5000) [1 per cell]
In (0.3128, 0.3523, 0.3881) [2 per cell]
In (0.3294, 0.3501, 0.7832) [2 per cell]
Bi (0.1708, 0.6562, 0.9347) [2 per cell]
Bi (0.4808, 0.0305, 0.2421) [2 per cell]